Calculated X-ray powder pattern
Compound: NaMoIO2
Radiation: CuKα
Structure: a PBE+U-relaxed structure
Peak positions follow from Bragg's law for the DFT cell and can differ from measured ones.

Crystal structure
abc: 4.032 4.032 6.233
angles: 90.00 90.00 90.00
Fractional positions:
Na1 0.000 0.000 0.000
Mo1 0.500 0.500 0.500
I1 0.500 0.500 0.000
O1 0.000 0.500 0.500
O2 0.500 0.000 0.500

Top 12 peaks for 2θ from 10° to 90°, sorted by position:
4.032 Å, 22.0 deg, rel. 100, hkl 1 0 0; 3.116 Å, 28.6 deg, rel. 52, hkl 0 0 2; 2.851 Å, 31.4 deg, rel. 47, hkl 1 1 0; 2.466 Å, 36.4 deg, rel. 54, hkl 1 0 2; 2.104 Å, 43.0 deg, rel. 40, hkl 1 1 2; 2.016 Å, 45.0 deg, rel. 29, hkl 2 0 0; 1.803 Å, 50.6 deg, rel. 21, hkl 2 1 0; 1.693 Å, 54.2 deg, rel. 32, hkl 2 0 2; 1.561 Å, 59.2 deg, rel. 26, hkl 2 1 2; 1.296 Å, 73.0 deg, rel. 13, hkl 2 2 2; 1.233 Å, 77.4 deg, rel. 17, hkl 2 0 4; 1.180 Å, 81.6 deg, rel. 23, hkl 3 1 2

---

Calculated X-ray powder pattern
Compound: NdMoI4O15
Radiation: CuKα
Structure: a PBE+U-relaxed structure
Peak positions follow from Bragg's law for the DFT cell and can differ from measured ones.

Crystal structure
abc: 7.132 14.171 7.283
angles: 90.00 114.08 90.00
Fractional positions:
Nd1 0.083 0.000 0.444
Nd2 0.917 0.500 0.556
Mo1 0.419 0.671 0.224
Mo2 0.581 0.171 0.776
I1 0.155 0.132 0.962
I2 0.241 0.749 0.709
I3 0.250 0.412 0.116
I4 0.479 0.914 0.259
I5 0.521 0.414 0.741
I6 0.750 0.912 0.884
I7 0.759 0.249 0.291
I8 0.845 0.632 0.038
O1 0.048 0.405 0.863
O2 0.051 0.656 0.611
O3 0.078 0.850 0.602
O4 0.092 0.034 0.782
O5 0.231 0.065 0.195
O6 0.235 0.754 0.965
O7 0.237 0.573 0.071
O8 0.247 0.289 0.191
O9 0.275 0.708 0.357
O10 0.285 0.480 0.625
O11 0.384 0.100 0.608
O12 0.403 0.915 0.473
O13 0.405 0.293 0.701
O14 0.420 0.157 0.989
O15 0.487 0.410 0.076
O16 0.513 0.910 0.924
O17 0.580 0.657 0.011
O18 0.595 0.793 0.299
O19 0.597 0.415 0.527
O20 0.616 0.600 0.392
O21 0.715 0.980 0.375
O22 0.725 0.208 0.643
O23 0.753 0.789 0.809
O24 0.763 0.073 0.929
O25 0.765 0.254 0.035
O26 0.769 0.565 0.805
O27 0.908 0.534 0.218
O28 0.922 0.350 0.398
O29 0.949 0.156 0.389
O30 0.952 0.905 0.137

Top 12 peaks for 2θ from 10° to 90°, sorted by position:
3.851 Å, 23.1 deg, rel. 51, hkl 0 3 1; 3.824 Å, 23.3 deg, rel. 82, hkl 1 3 0; 3.779 Å, 23.5 deg, rel. 83, hkl 1 1 1; 3.619 Å, 24.6 deg, rel. 72, hkl 1 0 -2; 3.547 Å, 25.1 deg, rel. 60, hkl 0 4 0; 3.506 Å, 25.4 deg, rel. 56, hkl 1 1 -2; 3.445 Å, 25.9 deg, rel. 100, hkl 2 1 -1; 3.431 Å, 26.0 deg, rel. 36, hkl 1 2 1; 3.237 Å, 27.6 deg, rel. 39, hkl 0 1 2; 3.127 Å, 28.5 deg, rel. 52, hkl 0 4 1; 3.057 Å, 29.2 deg, rel. 43, hkl 1 4 -1; 2.297 Å, 39.2 deg, rel. 40, hkl 2 4 -2